1.
# PrEr4Tm3
Theoretical X-ray powder pattern, Cu Kα. Input: a DFT-relaxed cell (GGA-PBE, Alexandria).
Peak positions follow from Bragg's law for the DFT cell and can differ from measured ones.

Largest 6 diffraction maxima, low angle first, 10° ≤ 2θ ≤ 80°:
d [Å]	Rel. int.	hkl
3.117	24	0 0 2
2.794	24	4 0 0
2.722	100	2 2 1
2.081	16	4 0 2
1.599	20	6 2 1
1.512	15	4 2 3

Structural model:
```
data_PrEr4Tm3
_chemical_formula_sum 'Pr2 Er8 Tm6'
_symmetry_space_group_name_H-M 'P 1'
_symmetry_Int_Tables_number 1
_cell_length_a 11.1764
_cell_length_b 7.2131
_cell_length_c 6.2229
_cell_angle_alpha 90.00
_cell_angle_beta 90.00
_cell_angle_gamma 90.00
loop_
_symmetry_equiv_pos_as_xyz
'x,y,z'
loop_
_atom_site_label
_atom_site_fract_x
_atom_site_fract_y
_atom_site_fract_z
Pr1 0.0000 0.1261 0.0000
Pr2 0.5000 0.8739 0.5000
Er1 0.0000 0.3765 0.5017
Er2 0.0000 0.6247 0.0001
Er3 0.2475 0.6239 0.3347
Er4 0.2525 0.3761 0.8347
Er5 0.5000 0.3753 0.5001
Er6 0.5000 0.6235 0.0017
Er7 0.7475 0.3761 0.8347
Er8 0.7525 0.6239 0.3347
Tm1 0.0000 0.8738 0.5002
Tm2 0.2499 0.1261 0.3345
Tm3 0.2501 0.8739 0.8345
Tm4 0.5000 0.1262 0.0002
Tm5 0.7501 0.1261 0.3345
Tm6 0.7499 0.8739 0.8345
```

2.
# Pr5Er3Tm3
Theoretical X-ray powder pattern, Cu Kα. Input: a DFT-relaxed cell (GGA-PBE, Alexandria).
Peak positions follow from Bragg's law for the DFT cell and can differ from measured ones.

Largest 6 diffraction maxima, low angle first, 10° ≤ 2θ ≤ 80°:
d [Å]	Rel. int.	hkl
3.254	91	3 0 0
2.948	86	1 1 1
2.819	53	2 2 0
2.706	100	3 1 0
2.523	73	2 1 1
2.184	77	2 2 1

Structural model:
```
data_Pr5Er3Tm3
_chemical_formula_sum 'Pr5 Er3 Tm3'
_symmetry_space_group_name_H-M 'P 1'
_symmetry_Int_Tables_number 1
_cell_length_a 11.2651
_cell_length_b 11.2651
_cell_length_c 3.4594
_cell_angle_alpha 90.00
_cell_angle_beta 90.00
_cell_angle_gamma 120.00
loop_
_symmetry_equiv_pos_as_xyz
'x,y,z'
loop_
_atom_site_label
_atom_site_fract_x
_atom_site_fract_y
_atom_site_fract_z
Pr1 0.0000 0.6620 0.0000
Pr2 0.3333 0.6667 0.0000
Pr3 0.3380 0.3380 0.0000
Pr4 0.6620 0.0000 0.0000
Pr5 0.6667 0.3333 0.0000
Er1 0.0000 0.4038 0.5000
Er2 0.4038 0.0000 0.5000
Er3 0.5962 0.5962 0.5000
Tm1 0.0000 0.1591 0.0000
Tm2 0.1591 0.0000 0.0000
Tm3 0.8409 0.8409 0.0000
```